# 1
The following is a simulated PXRD pattern of ZnIn2Cu5. It was derived from DFT lattice parameters and positions (GGA-PBE), using Cu Kα (λ = 1.5418 Å).
Intensities are scaled so that the largest is 100.

```
8
Lattice="4.339 0.000 0.000 0.000 4.339 0.000 0.000 0.000 6.122" Properties=species:S:1:pos:R:3 pbc="T T T"
Zn 0.000 0.000 0.000
In 0.000 0.000 3.061
In 2.170 2.170 0.000
Cu 0.000 2.170 1.537
Cu 0.000 2.170 4.585
Cu 2.170 0.000 1.537
Cu 2.170 0.000 4.585
Cu 2.170 2.170 3.061
```

Top 8 peaks for 2θ = 5–70°, by angle:
two_theta  I_rel
25.2  5.2
29.1  2.9
41.7  100.0
49.3  2.5
51.6  0.8
60.3  10.5
60.5  5.2
66.5  1.0



# 2
The following is a simulated PXRD pattern of Li8SnAu2. It was derived from DFT lattice parameters and positions (GGA-PBE), using Cu Kα (λ = 1.5418 Å).
Intensities are scaled so that the largest is 100.

```
11
Lattice="3.853 -2.225 0.000 3.853 2.225 0.000 -2.550 0.000 10.127" Properties=species:S:1:pos:R:3 pbc="T T T"
Li 0.006 0.000 2.787
Li 0.011 0.000 5.556
Li 0.017 0.000 8.397
Li 2.571 0.000 1.002
Li 2.586 0.000 9.124
Li 5.140 0.000 1.730
Li 5.146 0.000 4.571
Li 5.151 0.000 7.339
Sn 0.000 0.000 0.000
Au 2.577 0.000 3.646
Au 2.580 0.000 6.480
```

Top 8 peaks for 2θ = 5–70°, by angle:
two_theta  I_rel
8.7  24.5
23.3  35.2
23.8  100.0
25.9  29.9
26.4  27.9
40.2  42.5
40.5  41.7
49.0  32.2



# 3
The following is a simulated PXRD pattern of ScCdCoB. It was derived from DFT lattice parameters and positions (GGA-PBE), using Cu Kα (λ = 1.5418 Å).
Intensities are scaled so that the largest is 100.

```
16
Lattice="6.074 0.000 0.000 0.000 6.074 0.000 0.000 0.000 6.074" Properties=species:S:1:pos:R:3 pbc="T T T"
Sc 0.000 0.000 0.000
Sc 0.000 3.037 3.037
Sc 3.037 0.000 3.037
Sc 3.037 3.037 0.000
Cd 1.519 1.519 4.556
Cd 1.519 4.556 1.519
Cd 4.556 1.519 1.519
Cd 4.556 4.556 4.556
Co 0.000 0.000 3.037
Co 0.000 3.037 0.000
Co 3.037 0.000 0.000
Co 3.037 3.037 3.037
B 1.519 1.519 1.519
B 1.519 4.556 4.556
B 4.556 1.519 4.556
B 4.556 4.556 1.519
```

Top 6 peaks for 2θ = 5–70°, by angle:
two_theta  I_rel
25.4  57.4
29.4  0.6
42.1  100.0
49.8  27.6
61.0  15.4
67.2  10.8



# 4
The following is a simulated PXRD pattern of Mo8Au2C3N3. It was derived from DFT lattice parameters and positions (GGA-PBE), using Cu Kα (λ = 1.5418 Å).
Intensities are scaled so that the largest is 100.

```
16
Lattice="3.117 0.000 0.000 -1.559 2.700 0.000 0.000 0.000 23.428" Properties=species:S:1:pos:R:3 pbc="T T T"
Mo 0.000 0.000 3.546
Mo 0.000 0.000 8.150
Mo 0.000 0.000 15.279
Mo 0.000 0.000 19.883
Mo 0.000 1.800 13.037
Mo 0.000 1.800 22.213
Mo 1.559 0.900 1.216
Mo 1.559 0.900 10.391
Au 0.000 1.800 17.603
Au 1.559 0.900 5.825
C 0.000 0.000 11.714
C 0.000 1.800 9.122
C 1.559 0.900 14.306
N 0.000 0.000 0.000
N 0.000 1.800 2.508
N 1.559 0.900 20.920
```

Top 8 peaks for 2θ = 5–70°, by angle:
two_theta  I_rel
7.5  27.3
33.4  40.1
36.7  42.3
38.5  100.0
40.6  54.2
48.6  10.7
54.9  16.8
59.3  31.1



# 5
The following is a simulated PXRD pattern of Co5Re8. It was derived from DFT lattice parameters and positions (GGA-PBE), using Cu Kα (λ = 1.5418 Å).
Intensities are scaled so that the largest is 100.

```
13
Lattice="2.505 1.446 8.515 -2.505 1.446 8.515 0.000 -2.893 8.515" Properties=species:S:1:pos:R:3 pbc="T T T"
Co 0.000 0.000 0.000
Co 0.000 0.000 4.226
Co 0.000 0.000 8.808
Co 0.000 0.000 16.736
Co 0.000 0.000 21.318
Re 0.000 -1.428 6.534
Re -1.237 0.714 6.534
Re -1.237 -0.714 19.010
Re 0.000 0.000 11.531
Re 0.000 0.000 14.012
Re 1.237 0.714 6.534
Re 1.237 -0.714 19.010
Re 0.000 1.428 19.010
```

Top 8 peaks for 2θ = 5–70°, by angle:
two_theta  I_rel
20.9  68.7
41.0  30.7
41.8  100.0
42.2  24.7
44.1  17.0
44.2  30.0
45.4  46.4
48.8  30.3



# 6
The following is a simulated PXRD pattern of K4Zr6CBr18. It was derived from DFT lattice parameters and positions (GGA-PBE), using Cu Kα (λ = 1.5418 Å).
Intensities are scaled so that the largest is 100.

```
29
Lattice="10.429 0.000 0.000 -2.513 10.262 0.000 -1.886 -5.702 8.815" Properties=species:S:1:pos:R:3 pbc="T T T"
K 1.048 -0.914 1.994
K -0.977 4.222 4.963
K 7.007 0.338 3.852
K 4.982 5.473 6.821
Zr 1.101 0.156 6.833
Zr 1.257 -2.716 8.430
Zr 1.995 5.667 1.157
Zr 4.035 -1.107 7.658
Zr 4.773 7.275 0.385
Zr 4.929 4.403 1.983
C 3.958 5.131 0.000
Br -0.155 1.050 4.391
Br 0.054 -2.214 6.068
Br -2.308 4.911 7.935
Br -1.274 0.862 7.852
Br 0.781 3.275 0.870
Br -0.369 6.329 2.565
Br 3.197 -0.340 5.197
Br 3.389 -3.670 7.071
Br 1.907 2.736 6.965
Br 4.123 1.824 1.850
Br 2.641 8.230 1.744
Br 2.834 4.900 3.619
Br 6.399 -1.769 6.251
Br 5.250 1.285 7.945
Br 7.304 3.698 0.964
Br 8.339 -0.351 0.880
Br 5.976 6.774 2.747
Br 6.186 3.510 4.424
```

Top 8 peaks for 2θ = 5–70°, by angle:
two_theta  I_rel
9.3  99.8
9.7  100.0
10.0  89.1
28.1  75.9
30.6  77.0
31.2  79.9
33.6  74.2
35.1  78.9



# 7
The following is a simulated PXRD pattern of Zn2Ni21B20. It was derived from DFT lattice parameters and positions (GGA-PBE), using Cu Kα (λ = 1.5418 Å).
Intensities are scaled so that the largest is 100.

```
43
Lattice="-3.599 3.599 7.144 3.599 -3.599 7.144 3.599 3.599 -7.144" Properties=species:S:1:pos:R:3 pbc="T T T"
Zn 0.000 0.000 2.713
Zn 0.000 0.000 11.575
Ni 0.000 0.000 0.000
Ni 1.799 1.799 -3.572
Ni 1.799 -1.799 3.572
Ni 2.158 0.000 1.440
Ni 5.040 0.000 1.440
Ni 3.599 -1.441 5.704
Ni 3.599 1.727 0.000
Ni 3.599 0.000 3.572
Ni 0.000 0.000 5.162
Ni 0.000 2.158 1.440
Ni -1.799 1.799 3.572
Ni 1.727 3.599 0.000
Ni 1.799 1.799 3.572
Ni 1.872 0.000 7.144
Ni 3.599 1.441 5.704
Ni 0.000 0.000 9.125
Ni 0.000 3.599 3.572
Ni 0.000 1.872 7.144
Ni 0.000 5.040 1.440
Ni -1.441 3.599 5.704
Ni 1.441 3.599 5.704
B 3.599 1.440 -2.199
B 2.112 2.112 -1.511
B 1.487 -1.487 5.633
B 1.456 1.456 0.000
B 2.143 -2.143 7.144
B 1.440 3.599 -2.199
B 2.159 0.000 4.945
B 3.599 1.440 2.199
B 2.112 2.112 1.511
B 1.487 -1.487 8.654
B -1.487 1.487 5.633
B 1.487 1.487 5.633
B 0.000 2.159 4.945
B 1.440 3.599 2.199
B 2.159 0.000 9.343
B -2.143 2.143 7.144
B 2.143 2.143 7.144
B -1.487 1.487 8.654
B 1.487 1.487 8.654
B 0.000 2.159 9.343
```

Top 8 peaks for 2θ = 5–70°, by angle:
two_theta  I_rel
33.6  23.4
37.5  100.0
39.6  17.0
41.9  23.2
42.3  98.6
43.7  20.6
50.7  63.4
54.1  15.6



# 8
The following is a simulated PXRD pattern of HoIn. It was derived from DFT lattice parameters and positions (GGA-PBE), using Cu Kα (λ = 1.5418 Å).
Intensities are scaled so that the largest is 100.

```
2
Lattice="3.734 0.000 0.000 0.000 3.734 0.000 0.000 0.000 3.734" Properties=species:S:1:pos:R:3 pbc="T T T"
Ho 0.000 0.000 0.000
In 1.867 1.867 1.867
```

Top 6 peaks for 2θ = 5–70°, by angle:
two_theta  I_rel
23.8  3.2
34.0  100.0
41.9  1.0
48.8  17.9
55.0  1.5
60.8  36.8



# 9
The following is a simulated PXRD pattern of TlTcHO3. It was derived from DFT lattice parameters and positions (GGA-PBE), using Cu Kα (λ = 1.5418 Å).
Intensities are scaled so that the largest is 100.

```
12
Lattice="5.069 0.000 0.000 -0.430 5.548 0.000 -1.459 -2.312 5.772" Properties=species:S:1:pos:R:3 pbc="T T T"
Tl 0.172 1.482 1.107
Tl 3.008 1.754 4.665
Tc 0.725 -1.401 3.552
Tc 2.455 4.637 2.220
H 0.524 1.703 5.550
H 2.657 1.533 0.222
O -0.819 -0.323 3.721
O 0.590 2.408 3.755
O 1.541 3.887 0.654
O 1.639 -0.651 5.117
O 2.590 0.828 2.017
O 3.999 3.560 2.051
```

Top 8 peaks for 2θ = 5–70°, by angle:
two_theta  I_rel
26.9  100.0
27.2  92.7
27.3  62.7
28.5  48.4
31.6  80.8
32.4  74.4
36.0  54.8
40.5  54.0



# 10
The following is a simulated PXRD pattern of LuCo4Sn2Ge4. It was derived from DFT lattice parameters and positions (GGA-PBE), using Cu Kα (λ = 1.5418 Å).
Intensities are scaled so that the largest is 100.

```
11
Lattice="-3.282 3.282 4.216 3.282 -3.282 4.216 3.282 3.282 -4.216" Properties=species:S:1:pos:R:3 pbc="T T T"
Lu 0.000 0.000 0.000
Co 2.180 2.180 -0.763
Co 1.103 -1.103 4.979
Co 1.103 1.103 3.453
Co -1.103 1.103 4.979
Sn 3.282 0.000 0.000
Sn 0.000 3.282 0.000
Ge 1.146 -1.146 2.531
Ge -1.146 1.146 2.531
Ge 2.136 2.136 1.685
Ge 1.146 1.146 5.901
```

Top 8 peaks for 2θ = 5–70°, by angle:
two_theta  I_rel
21.1  19.1
32.3  52.1
34.7  100.0
38.8  36.4
42.7  36.3
44.6  49.3
60.6  24.4
67.6  23.7



# 11
The following is a simulated PXRD pattern of MgCoSn2N4. It was derived from DFT lattice parameters and positions (GGA-PBE), using Cu Kα (λ = 1.5418 Å).
Intensities are scaled so that the largest is 100.

```
16
Lattice="4.789 0.000 0.000 0.000 4.789 0.000 0.000 0.000 9.586" Properties=species:S:1:pos:R:3 pbc="T T T"
Mg 0.000 0.000 0.000
Mg 2.394 2.394 4.793
Co 0.000 2.394 2.396
Co 2.394 0.000 7.189
Sn 0.000 0.000 4.793
Sn 0.000 2.394 7.189
Sn 2.394 0.000 2.396
Sn 2.394 2.394 0.000
N 1.158 1.225 1.224
N 1.169 3.553 3.569
N 1.225 3.631 8.362
N 1.236 1.169 6.016
N 3.553 3.619 6.016
N 3.564 1.158 8.362
N 3.619 1.236 3.569
N 3.631 3.564 1.224
```

Top 8 peaks for 2θ = 5–70°, by angle:
two_theta  I_rel
20.7  31.7
32.4  100.0
33.7  10.3
37.6  34.6
43.3  10.7
51.4  9.8
54.2  43.6
64.5  40.9



# 12
The following is a simulated PXRD pattern of Cd2Ag2SF6. It was derived from DFT lattice parameters and positions (GGA-PBE), using Cu Kα (λ = 1.5418 Å).
Intensities are scaled so that the largest is 100.

```
22
Lattice="0.000 5.495 5.495 5.495 0.000 5.495 5.495 5.495 0.000" Properties=species:S:1:pos:R:3 pbc="T T T"
Cd 0.000 0.000 0.000
Cd 2.747 2.747 0.000
Cd 2.747 0.000 2.747
Cd 0.000 2.747 2.747
Ag 5.495 2.747 2.747
Ag 2.747 5.495 2.747
Ag 2.747 2.747 5.495
Ag 5.495 5.495 5.495
S 1.374 1.374 1.374
S 9.616 9.616 9.616
F 4.121 4.121 1.742
F 4.121 1.742 4.121
F 6.501 4.121 4.121
F 6.869 6.869 4.489
F 6.869 4.489 6.869
F 9.248 6.869 6.869
F 1.742 4.121 4.121
F 4.121 6.501 4.121
F 4.121 4.121 6.501
F 4.489 6.869 6.869
F 6.869 9.248 6.869
F 6.869 6.869 9.248
```

Top 8 peaks for 2θ = 5–70°, by angle:
two_theta  I_rel
26.9  1.2
28.1  100.0
32.6  24.3
35.6  2.1
46.8  57.0
55.5  42.1
58.2  7.4
68.3  7.9